[1]
This entry pairs a crystal structure of BaNb3NO7 with its simulated X-ray powder pattern. Radiation: Cu Kα (weighted mean of Kα1 and Kα2). Structure: the GGA-PBE geometry in Alexandria.

The 12 most intense peaks (2θ from 10° to 90°), low angle first:
two_theta, I/Imax, (hkl)
12.8, 22, 2 0 1
19.4, 17, 4 0 -1
25.7, 100, 4 0 2
26.2, 45, 3 1 0
28.0, 34, 3 1 1
30.5, 63, 1 1 -2
31.2, 26, 5 1 0
33.9, 15, 8 0 0
42.7, 12, 7 1 2
46.7, 21, 0 2 0
48.5, 11, 7 1 3
54.1, 32, 4 2 2

Atomic structure:
```
data_BaNb3NO7
_symmetry_space_group_name_H-M 'C 1 m 1'
_symmetry_Int_Tables_number 8
_symmetry_space_group_name_Hall 'C -2y'
_cell_length_a 21.173
_cell_length_b 3.887
_cell_length_c 9.159
_cell_angle_alpha 90.00
_cell_angle_beta 90.17
_cell_angle_gamma 90.00
loop_
_atom_site_label
_atom_site_type_symbol
_atom_site_fract_x
_atom_site_fract_y
_atom_site_fract_z
Ba1 Ba 0.000 0.000 0.000
Ba2 Ba 0.030 0.000 0.484
Nb1 Nb 0.148 0.500 0.176
Nb2 Nb 0.154 0.500 0.784
Nb3 Nb 0.258 0.000 0.993
Nb4 Nb 0.283 0.500 0.470
Nb5 Nb 0.385 0.000 0.687
Nb6 Nb 0.389 0.000 0.300
N1 N 0.360 0.500 0.344
N2 N 0.457 0.000 0.184
O1 O 0.082 0.500 0.670
O2 O 0.086 0.500 0.314
O3 O 0.098 0.500 0.998
O4 O 0.168 0.000 0.838
O5 O 0.172 0.000 0.150
O6 O 0.218 0.500 0.646
O7 O 0.222 0.500 0.328
O8 O 0.229 0.500 0.990
O9 O 0.299 0.000 0.515
O10 O 0.311 0.000 0.835
O11 O 0.316 0.000 0.140
O12 O 0.364 0.500 0.659
O13 O 0.437 0.000 0.507
O14 O 0.449 0.000 0.819
```

[2]
This entry pairs a crystal structure of BaRhF6 with its simulated X-ray powder pattern. Radiation: Cu Kα (weighted mean of Kα1 and Kα2). Structure: the GGA-PBE geometry in Alexandria.

The 12 most intense peaks (2θ from 10° to 90°), low angle first:
two_theta, I/Imax, (hkl)
19.6, 100, 0 1 2
27.8, 44, 1 0 4
34.2, 5, 2 0 2
39.7, 23, 0 2 4
44.6, 40, 1 2 2
49.2, 12, 3 0 0
57.3, 7, 2 0 8
57.5, 7, 2 2 0
61.3, 15, 0 3 6
64.9, 5, 1 2 8
79.0, 5, 3 2 4
89.0, 6, 4 1 6

Atomic structure:
```
data_BaRhF6
_symmetry_space_group_name_H-M 'R -3 m'
_symmetry_Int_Tables_number 166
_symmetry_space_group_name_Hall '-R 3 2"'
_cell_length_a 6.4110
_cell_length_b 6.4110
_cell_length_c 15.7646
_cell_angle_alpha 90.00
_cell_angle_beta 90.00
_cell_angle_gamma 120.00
loop_
_atom_site_label
_atom_site_type_symbol
_atom_site_fract_x
_atom_site_fract_y
_atom_site_fract_z
Ba1 Ba 0.0000 0.0000 0.0000
Rh1 Rh 0.0000 0.0000 0.5000
F1 F 0.0471 0.5236 0.2379
```

[3]
This entry pairs a crystal structure of SiSbCl4 with its simulated X-ray powder pattern. Radiation: Cu Kα (weighted mean of Kα1 and Kα2). Structure: the GGA-PBE geometry in Alexandria.

The 12 most intense peaks (2θ from 10° to 90°), low angle first:
two_theta, I/Imax, (hkl)
18.7, 25, 1 1 1
21.6, 22, 2 0 0
30.7, 49, 2 2 0
36.2, 100, 3 1 1
37.9, 23, 2 2 2
49.6, 10, 4 2 0
54.7, 19, 4 2 2
58.3, 31, 5 1 1
64.0, 20, 4 4 0
72.7, 8, 6 2 0
75.8, 10, 5 3 3
89.1, 10, 6 4 2

Atomic structure:
```
data_SiSbCl4
_symmetry_space_group_name_H-M 'F -4 3 m'
_symmetry_Int_Tables_number 216
_symmetry_space_group_name_Hall 'F -4 2 3'
_cell_length_a 8.225
_cell_length_b 8.225
_cell_length_c 8.225
_cell_angle_alpha 90.00
_cell_angle_beta 90.00
_cell_angle_gamma 90.00
loop_
_atom_site_label
_atom_site_type_symbol
_atom_site_fract_x
_atom_site_fract_y
_atom_site_fract_z
Si1 Si 0.000 0.000 0.000
Sb1 Sb 0.250 0.250 0.250
Cl1 Cl 0.125 0.125 0.625
```

[4]
This entry pairs a crystal structure of Pr6Y7 with its simulated X-ray powder pattern. Radiation: Cu Kα (weighted mean of Kα1 and Kα2). Structure: the GGA-PBE geometry in Alexandria.

The 12 most intense peaks (2θ from 10° to 90°), low angle first:
two_theta, I/Imax, (hkl)
26.3, 50, 1 1 0
29.6, 35, 1 0 10
30.5, 100, 0 0 12
31.9, 36, 0 1 11
32.1, 12, 0 2 4
33.1, 24, 2 0 5
35.4, 11, 0 2 7
48.5, 17, 2 1 10
49.0, 16, 0 3 6
50.0, 20, 1 2 11
54.1, 26, 2 2 0
54.2, 20, 2 0 17

Atomic structure:
```
data_Pr6Y7
_symmetry_space_group_name_H-M 'R -3 m'
_symmetry_Int_Tables_number 166
_symmetry_space_group_name_Hall '-R 3 2"'
_cell_length_a 6.7838
_cell_length_b 6.7838
_cell_length_c 35.1396
_cell_angle_alpha 90.00
_cell_angle_beta 90.00
_cell_angle_gamma 120.00
loop_
_atom_site_label
_atom_site_type_symbol
_atom_site_fract_x
_atom_site_fract_y
_atom_site_fract_z
Pr1 Pr 0.0000 0.0000 0.0481
Pr2 Pr 0.0000 0.0000 0.1513
Pr3 Pr 0.0000 0.0000 0.3335
Y1 Y 0.0000 0.0000 0.5000
Y2 Y 0.0026 0.5013 0.9131
```

Number 3 is which compound?
SiSbCl4